For KMn2BeF8, a crystal structure in Alexandria, relaxed with PBE+U gives the simulated XRD peak list in this record (λ = 1.5418 Å (Cu Kα)).
Kinematic intensities with the Lorentz-polarization factor, no thermal factor.

Main lines, by intensity (15° ≤ 2θ ≤ 90°):
d/Å	2θ (°)	Rel. int.	index
3.730	23.85	100	2 0 0
3.202	27.86	60	0 2 0
4.859	18.26	47	1 1 0
1.963	46.25	36	3 1 -2
2.808	31.87	32	1 1 -2
2.052	44.13	29	1 3 0
1.849	49.29	26	3 1 2
2.575	34.85	25	2 0 -2
1.483	62.64	19	3 3 -2
1.432	65.14	18	3 3 2

Atomic structure:
```
data_KMn2BeF8
_space_group_name_H-M_alt 'C 1 2/m 1'
_space_group_IT_number 12
_cell_length_a 7.478
_cell_length_b 6.404
_cell_length_c 6.683
_cell_angle_alpha 90.00
_cell_angle_beta 93.92
_cell_angle_gamma 90.00
loop_
_space_group_symop_operation_xyz
'x,y,z'
'-x,-y,-z'
'-x,y,-z'
'x,-y,z'
'x+1/2,y+1/2,z'
'-x+1/2,-y+1/2,-z'
'-x+1/2,y+1/2,-z'
'x+1/2,-y+1/2,z'
loop_
_atom_site_label
_atom_site_type_symbol
_atom_site_fract_x
_atom_site_fract_y
_atom_site_fract_z
K1 K 0.000 0.000 0.000
Mn1 Mn 0.005 0.500 0.268
Be1 Be 0.000 0.000 0.500
F1 F 0.008 0.186 0.679
F2 F 0.158 0.500 0.981
F3 F 0.191 0.500 0.492
```